Diffraction record for Nd2Zn5Ir5. The powder XRD pattern is computed, not measured: it uses a PBE-relaxed structure and Cu Ka.
No peak broadening, texture or thermal motion is included.

Main lines, by angle (10° ≤ 2θ ≤ 80°):
two_theta	I_rel
28.7	52
29.2	60
37.7	100
39.1	78
40.1	88
43.9	77
44.3	61
59.5	54

Atomic structure:
```
data_Nd2Zn5Ir5
_cell_length_a 4.0919
_cell_length_b 5.5832
_cell_length_c 9.1960
_cell_angle_alpha 90.00
_cell_angle_beta 90.00
_cell_angle_gamma 90.00
_symmetry_space_group_name_H-M 'P 1'
_symmetry_Int_Tables_number 1
_symmetry_space_group_name_Hall 'P 1'
loop_
_atom_site_label
_atom_site_type_symbol
_atom_site_fract_x
_atom_site_fract_y
_atom_site_fract_z
Nd1 Nd 0.0000 0.0000 0.0000
Nd2 Nd 0.0000 0.5000 0.5000
Zn1 Zn 0.0000 0.0000 0.3304
Zn2 Zn 0.0000 0.0000 0.6696
Zn3 Zn 0.0000 0.5000 0.1695
Zn4 Zn 0.0000 0.5000 0.8305
Zn5 Zn 0.5000 0.0000 0.5000
Ir1 Ir 0.5000 0.2450 0.2502
Ir2 Ir 0.5000 0.2450 0.7498
Ir3 Ir 0.5000 0.5000 0.0000
Ir4 Ir 0.5000 0.7550 0.2502
Ir5 Ir 0.5000 0.7550 0.7498
```